Theoretical X-ray powder pattern
Compound: Dy2VO5
Radiation: CuKα
Structure: a DFT-relaxed cell (GGA+U, Alexandria)
Lines closer than 0.1° are merged.

Crystal structure
Cell: 9.2674 7.0951 6.7816 Å, 90.00 95.27 90.00°
Fractional coordinates of all 32 atoms:
Dy1 0.0291 0.1192 0.2304
Dy2 0.0291 0.3808 0.7304
Dy3 0.3475 0.1472 0.9572
Dy4 0.3475 0.3528 0.4572
Dy5 0.6525 0.6472 0.5428
Dy6 0.6525 0.8528 0.0428
Dy7 0.9709 0.6192 0.2696
Dy8 0.9709 0.8808 0.7696
V1 0.3080 0.6026 0.9584
V2 0.3080 0.8974 0.4584
V3 0.6920 0.1026 0.5416
V4 0.6920 0.3974 0.0416
O1 0.1034 0.1191 0.9096
O2 0.1034 0.3809 0.4096
O3 0.1089 0.6425 0.9541
O4 0.1089 0.8575 0.4541
O5 0.2781 0.0853 0.2643
O6 0.2781 0.4147 0.7643
O7 0.3770 0.0688 0.6386
O8 0.3770 0.4312 0.1386
O9 0.3995 0.6738 0.4858
O10 0.3995 0.8262 0.9858
O11 0.6005 0.1738 0.0142
O12 0.6005 0.3262 0.5142
O13 0.6230 0.5688 0.8614
O14 0.6230 0.9312 0.3614
O15 0.7219 0.5853 0.2357
O16 0.7219 0.9147 0.7357
O17 0.8911 0.1425 0.5459
O18 0.8911 0.3575 0.0459
O19 0.8966 0.6191 0.5904
O20 0.8966 0.8809 0.0904

Most intense lines, 2θ from 10° to 80°, low angle first:
2theta  d (Å)  Rel. int.
15.8  5.625  384
27.3  3.269  599
29.0  3.077  664
30.5  2.935  1000
33.8  2.649  580
34.3  2.613  219
47.9  1.901  263
50.1  1.822  261